1.
Simulated X-ray powder pattern of CaAc6Tl5 for Cu Kα (weighted mean of Kα1 and Kα2), from a structure optimized by DFT (PBE).
Lines closer than 0.1° are merged.

Crystal structure
```
data_CaAc6Tl5
_symmetry_space_group_name_H-M 'I m m m'
_symmetry_Int_Tables_number 71
_symmetry_space_group_name_Hall '-I 2 2'
_cell_length_a 5.848
_cell_length_b 8.351
_cell_length_c 17.753
_cell_angle_alpha 90.00
_cell_angle_beta 90.00
_cell_angle_gamma 90.00
loop_
_atom_site_label
_atom_site_type_symbol
_atom_site_fract_x
_atom_site_fract_y
_atom_site_fract_z
Ca1 Ca 0.000 0.000 0.000
Ac1 Ac 0.000 0.228 0.500
Ac2 Ac 0.000 0.257 0.175
Tl1 Tl 0.000 0.000 0.332
Tl2 Tl 0.000 0.500 0.000
Tl3 Tl 0.000 0.500 0.351
```

Peak list (10 most intense, 2θ = 10–90°, by intensity)
d_spacing, Rel. int.
2.947, 100.0
1.706, 25.9
2.924, 25.6
2.959, 23.7
1.693, 20.2
2.080, 17.9
1.473, 11.3
1.320, 10.9
1.699, 10.0
2.088, 9.4



2.
Simulated X-ray powder pattern of Sr3Sn5Hg6 for Cu Kα (weighted mean of Kα1 and Kα2), from a structure optimized by DFT (PBE).
Lines closer than 0.1° are merged.

Crystal structure
```
data_Sr3Sn5Hg6
_symmetry_space_group_name_H-M 'P m m n'
_symmetry_Int_Tables_number 59
_cell_length_a 4.898
_cell_length_b 14.483
_cell_length_c 11.241
_cell_angle_alpha 90.00
_cell_angle_beta 90.00
_cell_angle_gamma 90.00
loop_
_symmetry_equiv_pos_as_xyz
'x,y,z'
'-x,-y,-z'
'-x+1/2,-y+1/2,z'
'x+1/2,y+1/2,-z'
'x+1/2,-y,-z'
'-x+1/2,y,z'
'-x,y+1/2,-z'
'x,-y+1/2,z'
loop_
_atom_site_label
_atom_site_type_symbol
_atom_site_fract_x
_atom_site_fract_y
_atom_site_fract_z
Sr1 Sr 0.250 0.060 0.242
Sr2 Sr 0.250 0.750 0.247
Sn1 Sn 0.250 0.100 0.874
Sn2 Sn 0.250 0.614 0.526
Sn3 Sn 0.250 0.750 0.771
Hg1 Hg 0.250 0.080 0.619
Hg2 Hg 0.250 0.250 0.058
Hg3 Hg 0.250 0.250 0.430
Hg4 Hg 0.250 0.593 0.974
```

Peak list (10 most intense, 2θ = 10–90°, by intensity)
d_spacing, Rel. int.
2.933, 100.0
2.449, 47.5
2.753, 42.1
2.414, 34.0
2.299, 29.7
2.404, 25.6
1.719, 24.6
5.620, 23.3
1.645, 18.9
2.960, 18.1



3.
Simulated X-ray powder pattern of In8SnPb3 for Cu Kα (weighted mean of Kα1 and Kα2), from a structure optimized by DFT (PBE).
Lines closer than 0.1° are merged.

Crystal structure
```
data_In8SnPb3
_symmetry_space_group_name_H-M 'I 2 2 2'
_symmetry_Int_Tables_number 23
_cell_length_a 8.266
_cell_length_b 8.672
_cell_length_c 11.169
_cell_angle_alpha 90.00
_cell_angle_beta 90.00
_cell_angle_gamma 90.00
loop_
_symmetry_equiv_pos_as_xyz
'x,y,z'
'-x,-y,z'
'x,-y,-z'
'-x,y,-z'
'x+1/2,y+1/2,z+1/2'
'-x+1/2,-y+1/2,z+1/2'
'x+1/2,-y+1/2,-z+1/2'
'-x+1/2,y+1/2,-z+1/2'
loop_
_atom_site_label
_atom_site_type_symbol
_atom_site_fract_x
_atom_site_fract_y
_atom_site_fract_z
In1 In 0.133 0.144 0.243
In2 In 0.189 0.315 0.493
Sn1 Sn 0.000 0.000 0.000
Pb1 Pb 0.000 0.000 0.500
Pb2 Pb 0.000 0.500 0.263
```

Peak list (10 most intense, 2θ = 10–90°, by intensity)
d_spacing, Rel. int.
2.452, 100.0
2.376, 84.6
2.793, 82.2
2.992, 58.8
4.082, 56.6
2.041, 38.5
3.539, 34.0
6.644, 31.4
1.538, 21.6
3.631, 21.5



4.
Simulated X-ray powder pattern of Na5Ni9As7 for Cu Kα (weighted mean of Kα1 and Kα2), from a structure optimized by DFT (PBE).
Lines closer than 0.1° are merged.

Crystal structure
```
data_Na5Ni9As7
_symmetry_space_group_name_H-M 'P -6'
_symmetry_Int_Tables_number 174
_cell_length_a 9.6903
_cell_length_b 9.6903
_cell_length_c 3.9759
_cell_angle_alpha 90.00
_cell_angle_beta 90.00
_cell_angle_gamma 120.00
loop_
_symmetry_equiv_pos_as_xyz
'x,y,z'
'-x+y,-x,-z'
'-y,x-y,z'
'x,y,-z'
'-x+y,-x,z'
'-y,x-y,-z'
loop_
_atom_site_label
_atom_site_type_symbol
_atom_site_fract_x
_atom_site_fract_y
_atom_site_fract_z
Na1 Na 0.0000 0.0000 0.0000
Na2 Na 0.2184 0.7768 0.0000
Na3 Na 0.6667 0.3333 0.5000
Ni1 Ni 0.0366 0.4929 0.5000
Ni2 Ni 0.2927 0.2463 0.5000
Ni3 Ni 0.3816 0.1102 0.0000
As1 As 0.0201 0.2407 0.5000
As2 As 0.3333 0.6667 0.5000
As3 As 0.4667 0.3831 0.0000
```

Peak list (10 most intense, 2θ = 10–90°, by intensity)
d_spacing, Rel. int.
2.480, 100.0
2.009, 76.7
1.988, 44.7
1.856, 39.0
1.831, 36.7
4.845, 35.3
3.593, 30.7
3.172, 27.2
1.347, 25.4
1.733, 25.0



5.
Simulated X-ray powder pattern of RbCd10Pb for Cu Kα (weighted mean of Kα1 and Kα2), from a structure optimized by DFT (PBE).
Lines closer than 0.1° are merged.

Crystal structure
```
data_RbCd10Pb
_symmetry_space_group_name_H-M 'P m m m'
_symmetry_Int_Tables_number 47
_cell_length_a 4.840
_cell_length_b 6.289
_cell_length_c 10.624
_cell_angle_alpha 90.00
_cell_angle_beta 90.00
_cell_angle_gamma 90.00
loop_
_symmetry_equiv_pos_as_xyz
'x,y,z'
'-x,-y,-z'
'-x,-y,z'
'x,y,-z'
'x,-y,-z'
'-x,y,z'
'-x,y,-z'
'x,-y,z'
loop_
_atom_site_label
_atom_site_type_symbol
_atom_site_fract_x
_atom_site_fract_y
_atom_site_fract_z
Rb1 Rb 0.000 0.000 0.000
Cd1 Cd 0.000 0.000 0.345
Cd2 Cd 0.000 0.500 0.178
Cd3 Cd 0.500 0.000 0.500
Cd4 Cd 0.500 0.251 0.254
Cd5 Cd 0.500 0.500 0.000
Pb1 Pb 0.000 0.500 0.500
```

Peak list (10 most intense, 2θ = 10–90°, by intensity)
d_spacing, Rel. int.
2.602, 100.0
2.637, 53.0
2.420, 44.8
2.706, 33.6
2.362, 32.2
1.690, 26.4
1.804, 24.5
1.301, 22.2
3.086, 21.9
3.608, 21.1



6.
Simulated X-ray powder pattern of Nd8Sn5Te for Cu Kα (weighted mean of Kα1 and Kα2), from a structure optimized by DFT (PBE).
Lines closer than 0.1° are merged.

Crystal structure
```
data_Nd8Sn5Te
_symmetry_space_group_name_H-M 'I -4'
_symmetry_Int_Tables_number 82
_cell_length_a 9.580
_cell_length_b 9.580
_cell_length_c 9.577
_cell_angle_alpha 90.00
_cell_angle_beta 90.00
_cell_angle_gamma 90.00
loop_
_symmetry_equiv_pos_as_xyz
'x,y,z'
'y,-x,-z'
'-x,-y,z'
'-y,x,-z'
'x+1/2,y+1/2,z+1/2'
'y+1/2,-x+1/2,-z+1/2'
'-x+1/2,-y+1/2,z+1/2'
'-y+1/2,x+1/2,-z+1/2'
loop_
_atom_site_label
_atom_site_type_symbol
_atom_site_fract_x
_atom_site_fract_y
_atom_site_fract_z
Nd1 Nd 0.071 0.319 0.057
Nd2 Nd 0.072 0.178 0.696
Sn1 Sn 0.000 0.000 0.000
Sn2 Sn 0.126 0.249 0.376
Te1 Te 0.000 0.500 0.750
```

Peak list (10 most intense, 2θ = 10–90°, by intensity)
d_spacing, Rel. int.
3.029, 100.0
2.560, 65.6
1.554, 26.3
1.879, 23.7
1.955, 16.8
1.303, 16.6
1.478, 14.6
1.515, 12.2
2.142, 11.0
1.113, 11.0



7.
Simulated X-ray powder pattern of YPaRh4 for Cu Kα (weighted mean of Kα1 and Kα2), from a structure optimized by DFT (PBE).
Lines closer than 0.1° are merged.

Crystal structure
```
data_YPaRh4
_symmetry_space_group_name_H-M 'P n m a'
_symmetry_Int_Tables_number 62
_cell_length_a 7.002
_cell_length_b 3.903
_cell_length_c 16.622
_cell_angle_alpha 90.00
_cell_angle_beta 90.00
_cell_angle_gamma 90.00
loop_
_symmetry_equiv_pos_as_xyz
'x,y,z'
'-x,-y,-z'
'-x+1/2,-y,z+1/2'
'x+1/2,y,-z+1/2'
'x+1/2,-y+1/2,-z+1/2'
'-x+1/2,y+1/2,z+1/2'
'-x,y+1/2,-z'
'x,-y+1/2,z'
loop_
_atom_site_label
_atom_site_type_symbol
_atom_site_fract_x
_atom_site_fract_y
_atom_site_fract_z
Y1 Y 0.181 0.250 0.213
Pa1 Pa 0.201 0.750 0.467
Rh1 Rh 0.034 0.750 0.938
Rh2 Rh 0.046 0.250 0.374
Rh3 Rh 0.143 0.250 0.822
Rh4 Rh 0.239 0.250 0.586
```

Peak list (10 most intense, 2θ = 10–90°, by intensity)
d_spacing, Rel. int.
8.311, 100.0
2.358, 98.3
2.380, 84.8
2.150, 61.9
2.487, 51.2
1.951, 47.1
1.991, 41.8
2.636, 32.3
2.575, 28.1
3.340, 26.6



8.
Simulated X-ray powder pattern of In15SnPb4 for Cu Kα (weighted mean of Kα1 and Kα2), from a structure optimized by DFT (PBE).
Lines closer than 0.1° are merged.

Crystal structure
```
data_In15SnPb4
_symmetry_space_group_name_H-M 'P 4/m m m'
_symmetry_Int_Tables_number 123
_symmetry_space_group_name_Hall '-P 4 2'
_cell_length_a 5.069
_cell_length_b 5.069
_cell_length_c 21.907
_cell_angle_alpha 90.00
_cell_angle_beta 90.00
_cell_angle_gamma 90.00
loop_
_atom_site_label
_atom_site_type_symbol
_atom_site_fract_x
_atom_site_fract_y
_atom_site_fract_z
In1 In 0.000 0.000 0.000
In2 In 0.000 0.000 0.198
In3 In 0.000 0.000 0.399
In4 In 0.000 0.500 0.097
In5 In 0.000 0.500 0.299
In6 In 0.000 0.500 0.500
Sn1 Sn 0.500 0.500 0.000
Pb1 Pb 0.500 0.500 0.198
Pb2 Pb 0.500 0.500 0.399
```

Peak list (10 most intense, 2θ = 10–90°, by intensity)
d_spacing, Rel. int.
2.774, 100.0
2.535, 39.1
1.505, 30.7
1.657, 21.5
1.792, 13.7
2.191, 13.7
1.387, 11.6
1.352, 10.5
1.153, 6.6
1.134, 6.3



9.
Simulated X-ray powder pattern of RbTe2As2Se6 for Cu Kα (weighted mean of Kα1 and Kα2), from a structure optimized by DFT (PBE).
Lines closer than 0.1° are merged.

Crystal structure
```
data_RbTe2As2Se6
_symmetry_space_group_name_H-M 'P -1'
_symmetry_Int_Tables_number 2
_cell_length_a 6.407
_cell_length_b 7.925
_cell_length_c 9.006
_cell_angle_alpha 106.19
_cell_angle_beta 98.06
_cell_angle_gamma 108.13
loop_
_symmetry_equiv_pos_as_xyz
'x,y,z'
'-x,-y,-z'
loop_
_atom_site_label
_atom_site_type_symbol
_atom_site_fract_x
_atom_site_fract_y
_atom_site_fract_z
Rb1 Rb 0.000 0.000 0.000
Te1 Te 0.311 0.621 0.117
As1 As 0.480 0.139 0.468
Se1 Se 0.134 0.665 0.372
Se2 Se 0.470 0.974 0.799
Se3 Se 0.493 0.601 0.824
```

Peak list (10 most intense, 2θ = 10–90°, by intensity)
d_spacing, Rel. int.
5.898, 100.0
2.808, 98.8
3.127, 70.9
5.673, 52.9
3.752, 51.2
2.624, 47.4
2.471, 30.8
6.643, 29.8
1.815, 28.3
1.953, 26.2



10.
Simulated X-ray powder pattern of Y3Ge6Pt4 for Cu Kα (weighted mean of Kα1 and Kα2), from a structure optimized by DFT (PBE).
Lines closer than 0.1° are merged.

Crystal structure
```
data_Y3Ge6Pt4
_symmetry_space_group_name_H-M 'P 1 21/m 1'
_symmetry_Int_Tables_number 11
_cell_length_a 8.794
_cell_length_b 4.360
_cell_length_c 13.355
_cell_angle_alpha 90.00
_cell_angle_beta 99.32
_cell_angle_gamma 90.00
loop_
_symmetry_equiv_pos_as_xyz
'x,y,z'
'-x,-y,-z'
'-x,y+1/2,-z'
'x,-y+1/2,z'
loop_
_atom_site_label
_atom_site_type_symbol
_atom_site_fract_x
_atom_site_fract_y
_atom_site_fract_z
Y1 Y 0.065 0.250 0.313
Y2 Y 0.234 0.750 0.938
Y3 Y 0.412 0.750 0.690
Ge1 Ge 0.118 0.250 0.067
Ge2 Ge 0.126 0.750 0.494
Ge3 Ge 0.196 0.250 0.777
Ge4 Ge 0.302 0.750 0.215
Ge5 Ge 0.378 0.250 0.497
Ge6 Ge 0.414 0.250 0.067
Pt1 Pt 0.029 0.750 0.126
Pt2 Pt 0.152 0.250 0.591
Pt3 Pt 0.354 0.750 0.399
Pt4 Pt 0.468 0.250 0.875
```

Peak list (10 most intense, 2θ = 10–90°, by intensity)
d_spacing, Rel. int.
2.670, 100.0
2.180, 57.2
2.629, 56.4
2.437, 45.1
1.895, 43.4
2.198, 40.5
4.139, 38.1
1.548, 26.9
3.075, 24.8
3.377, 24.0



11.
Simulated X-ray powder pattern of Er4TlTc for Cu Kα (weighted mean of Kα1 and Kα2), from a structure optimized by DFT (PBE).
Lines closer than 0.1° are merged.

Crystal structure
```
data_Er4TlTc
_symmetry_space_group_name_H-M 'C 1 2/c 1'
_symmetry_Int_Tables_number 15
_cell_length_a 8.669
_cell_length_b 12.824
_cell_length_c 6.198
_cell_angle_alpha 90.00
_cell_angle_beta 107.01
_cell_angle_gamma 90.00
loop_
_symmetry_equiv_pos_as_xyz
'x,y,z'
'-x,-y,-z'
'-x,y,-z+1/2'
'x,-y,z+1/2'
'x+1/2,y+1/2,z'
'-x+1/2,-y+1/2,-z'
'-x+1/2,y+1/2,-z+1/2'
'x+1/2,-y+1/2,z+1/2'
loop_
_atom_site_label
_atom_site_type_symbol
_atom_site_fract_x
_atom_site_fract_y
_atom_site_fract_z
Er1 Er 0.107 0.169 0.047
Er2 Er 0.224 0.422 0.393
Tl1 Tl 0.000 0.375 0.750
Tc1 Tc 0.000 0.000 0.250
```

Peak list (10 most intense, 2θ = 10–90°, by intensity)
d_spacing, Rel. int.
2.724, 100.0
2.776, 69.6
2.503, 65.9
3.006, 56.9
3.020, 35.7
1.643, 32.1
2.367, 27.3
2.450, 26.5
1.546, 25.6
2.337, 23.7



What did the second record say?
Simulated X-ray powder pattern of Sr3Sn5Hg6 for Cu Kα (weighted mean of Kα1 and Kα2), from a structure optimized by DFT (PBE).
Lines closer than 0.1° are merged.

Crystal structure
```
data_Sr3Sn5Hg6
_symmetry_space_group_name_H-M 'P m m n'
_symmetry_Int_Tables_number 59
_cell_length_a 4.898
_cell_length_b 14.483
_cell_length_c 11.241
_cell_angle_alpha 90.00
_cell_angle_beta 90.00
_cell_angle_gamma 90.00
loop_
_symmetry_equiv_pos_as_xyz
'x,y,z'
'-x,-y,-z'
'-x+1/2,-y+1/2,z'
'x+1/2,y+1/2,-z'
'x+1/2,-y,-z'
'-x+1/2,y,z'
'-x,y+1/2,-z'
'x,-y+1/2,z'
loop_
_atom_site_label
_atom_site_type_symbol
_atom_site_fract_x
_atom_site_fract_y
_atom_site_fract_z
Sr1 Sr 0.250 0.060 0.242
Sr2 Sr 0.250 0.750 0.247
Sn1 Sn 0.250 0.100 0.874
Sn2 Sn 0.250 0.614 0.526
Sn3 Sn 0.250 0.750 0.771
Hg1 Hg 0.250 0.080 0.619
Hg2 Hg 0.250 0.250 0.058
Hg3 Hg 0.250 0.250 0.430
Hg4 Hg 0.250 0.593 0.974
```

Peak list (10 most intense, 2θ = 10–90°, by intensity)
d_spacing, Rel. int.
2.933, 100.0
2.449, 47.5
2.753, 42.1
2.414, 34.0
2.299, 29.7
2.404, 25.6
1.719, 24.6
5.620, 23.3
1.645, 18.9
2.960, 18.1